[1]
Theoretical XRD peak list of Er3Mg2Sn3 for Cu Kα (λ = 1.5418 Å), from a structure optimized by DFT (GGA-PBE).
Peak positions follow from Bragg's law for the DFT cell and can differ from measured ones.

Structural model:
```
data_Er3Mg2Sn3
_symmetry_space_group_name_H-M 'P 63/m c m'
_symmetry_Int_Tables_number 193
_symmetry_space_group_name_Hall '-P 6c 2'
_cell_length_a 8.7695
_cell_length_b 8.7695
_cell_length_c 6.2042
_cell_angle_alpha 90.00
_cell_angle_beta 90.00
_cell_angle_gamma 120.00
loop_
_atom_site_label
_atom_site_fract_x
_atom_site_fract_y
_atom_site_fract_z
Er1 0.0000 0.2491 0.2500
Mg1 0.3333 0.6667 0.0000
Sn1 0.0000 0.3938 0.7500
```

Top 10 peaks for 2θ = 15–90°, low angle first:
- 2θ 20.3, intensity 29
- 2θ 28.8, intensity 37
- 2θ 31.2, intensity 16
- 2θ 34.4, intensity 100
- 2θ 35.5, intensity 46
- 2θ 45.5, intensity 11
- 2θ 54.7, intensity 41
- 2θ 68.8, intensity 13
- 2θ 70.7, intensity 13
- 2θ 85.2, intensity 12



[2]
Theoretical XRD peak list of Sr2ErMg2Tl5 for Cu Kα (λ = 1.5418 Å), from a structure optimized by DFT (GGA-PBE).
Peak positions follow from Bragg's law for the DFT cell and can differ from measured ones.

Structural model:
```
data_Sr2ErMg2Tl5
_symmetry_space_group_name_H-M 'P 4/m b m'
_symmetry_Int_Tables_number 127
_symmetry_space_group_name_Hall '-P 4 2ab'
_cell_length_a 11.6709
_cell_length_b 11.6709
_cell_length_c 4.2844
_cell_angle_alpha 90.00
_cell_angle_beta 90.00
_cell_angle_gamma 90.00
loop_
_atom_site_label
_atom_site_fract_x
_atom_site_fract_y
_atom_site_fract_z
Sr1 0.1732 0.3268 0.0000
Er1 0.0000 0.0000 0.0000
Mg1 0.1242 0.6242 0.0000
Tl1 0.0000 0.5000 0.5000
Tl2 0.0684 0.7992 0.5000
```

Top 10 peaks for 2θ = 15–90°, low angle first:
- 2θ 20.7, intensity 24
- 2θ 26.9, intensity 24
- 2θ 30.1, intensity 22
- 2θ 31.6, intensity 45
- 2θ 32.0, intensity 100
- 2θ 34.4, intensity 22
- 2θ 34.7, intensity 32
- 2θ 42.2, intensity 22
- 2θ 53.7, intensity 21
- 2θ 60.1, intensity 25



[3]
Theoretical XRD peak list of TbEr14Mg for Cu Kα (λ = 1.5418 Å), from a structure optimized by DFT (GGA-PBE).
Peak positions follow from Bragg's law for the DFT cell and can differ from measured ones.

Structural model:
```
data_TbEr14Mg
_symmetry_space_group_name_H-M 'P 4/m m m'
_symmetry_Int_Tables_number 123
_symmetry_space_group_name_Hall '-P 4 2'
_cell_length_a 6.9789
_cell_length_b 6.9789
_cell_length_c 9.8997
_cell_angle_alpha 90.00
_cell_angle_beta 90.00
_cell_angle_gamma 90.00
loop_
_atom_site_label
_atom_site_fract_x
_atom_site_fract_y
_atom_site_fract_z
Tb1 0.0000 0.0000 0.0000
Er1 0.0000 0.0000 0.5000
Er2 0.0000 0.5000 0.0000
Er3 0.0000 0.5000 0.5000
Er4 0.2490 0.2490 0.2504
Er5 0.5000 0.5000 0.5000
Mg1 0.5000 0.5000 0.0000
```

Top 10 peaks for 2θ = 15–90°, low angle first:
- 2θ 31.4, intensity 100
- 2θ 36.3, intensity 17
- 2θ 36.4, intensity 34
- 2θ 52.4, intensity 36
- 2θ 62.2, intensity 14
- 2θ 62.4, intensity 28
- 2θ 65.5, intensity 12
- 2θ 85.7, intensity 12
- 2θ 85.8, intensity 6
- 2θ 88.6, intensity 11



[4]
Theoretical XRD peak list of Tb7Er3Mg for Cu Kα (λ = 1.5418 Å), from a structure optimized by DFT (GGA-PBE).
Peak positions follow from Bragg's law for the DFT cell and can differ from measured ones.

Structural model:
```
data_Tb7Er3Mg
_symmetry_space_group_name_H-M 'P -1'
_symmetry_Int_Tables_number 2
_symmetry_space_group_name_Hall '-P 1'
_cell_length_a 6.4813
_cell_length_b 6.5046
_cell_length_c 8.4562
_cell_angle_alpha 99.19
_cell_angle_beta 98.82
_cell_angle_gamma 94.90
loop_
_atom_site_label
_atom_site_fract_x
_atom_site_fract_y
_atom_site_fract_z
Tb1 0.0000 0.0000 0.0000
Tb2 0.2047 0.0457 0.6452
Tb3 0.2389 0.4912 0.9074
Tb4 0.4281 0.2989 0.3406
Er1 0.0000 0.5000 0.5000
Er2 0.2792 0.7660 0.2824
Mg1 0.5000 0.0000 0.0000
```

Top 10 peaks for 2θ = 15–90°, low angle first:
- 2θ 27.8, intensity 19
- 2θ 29.9, intensity 14
- 2θ 31.8, intensity 15
- 2θ 32.2, intensity 53
- 2θ 32.4, intensity 37
- 2θ 32.5, intensity 20
- 2θ 32.7, intensity 100
- 2θ 33.3, intensity 39
- 2θ 33.6, intensity 31
- 2θ 57.8, intensity 15



[5]
Theoretical XRD peak list of Tb2Er5Mg for Cu Kα (λ = 1.5418 Å), from a structure optimized by DFT (GGA-PBE).
Peak positions follow from Bragg's law for the DFT cell and can differ from measured ones.

Structural model:
```
data_Tb2Er5Mg
_symmetry_space_group_name_H-M 'P -1'
_symmetry_Int_Tables_number 2
_symmetry_space_group_name_Hall '-P 1'
_cell_length_a 3.5131
_cell_length_b 8.5382
_cell_length_c 16.3832
_cell_angle_alpha 85.99
_cell_angle_beta 89.93
_cell_angle_gamma 90.00
loop_
_atom_site_label
_atom_site_fract_x
_atom_site_fract_y
_atom_site_fract_z
Tb1 0.0008 0.2977 0.4572
Tb2 0.0020 0.7244 0.9545
Er1 0.0070 0.5784 0.1632
Er2 0.4971 0.3977 0.6510
Er3 0.4979 0.7547 0.7540
Er4 0.4986 0.0683 0.9040
Er5 0.4994 0.9682 0.4084
Mg1 0.9999 0.0950 0.7436
```

Top 10 peaks for 2θ = 15–90°, low angle first:
- 2θ 27.5, intensity 40
- 2θ 28.6, intensity 42
- 2θ 29.2, intensity 26
- 2θ 29.9, intensity 44
- 2θ 31.4, intensity 26
- 2θ 31.6, intensity 32
- 2θ 32.4, intensity 100
- 2θ 32.5, intensity 49
- 2θ 34.4, intensity 98
- 2θ 52.1, intensity 28



[6]
Theoretical XRD peak list of Tb5Er2Mg for Cu Kα (λ = 1.5418 Å), from a structure optimized by DFT (GGA-PBE).
Peak positions follow from Bragg's law for the DFT cell and can differ from measured ones.

Structural model:
```
data_Tb5Er2Mg
_symmetry_space_group_name_H-M 'P -1'
_symmetry_Int_Tables_number 2
_symmetry_space_group_name_Hall '-P 1'
_cell_length_a 3.5609
_cell_length_b 8.6076
_cell_length_c 16.3826
_cell_angle_alpha 80.88
_cell_angle_beta 83.76
_cell_angle_gamma 89.94
loop_
_atom_site_label
_atom_site_fract_x
_atom_site_fract_y
_atom_site_fract_z
Tb1 0.0474 0.4897 0.4076
Tb2 0.0774 0.1318 0.3470
Tb3 0.1292 0.7822 0.2433
Tb4 0.2059 0.4677 0.0892
Tb5 0.3257 0.8814 0.8475
Er1 0.2704 0.1783 0.9586
Er2 0.4803 0.1907 0.5399
Mg1 0.3750 0.5585 0.7481
```

Top 10 peaks for 2θ = 15–90°, low angle first:
- 2θ 28.1, intensity 41
- 2θ 28.7, intensity 18
- 2θ 31.2, intensity 31
- 2θ 31.3, intensity 100
- 2θ 31.6, intensity 44
- 2θ 32.1, intensity 21
- 2θ 33.0, intensity 28
- 2θ 34.4, intensity 57
- 2θ 36.5, intensity 20
- 2θ 51.3, intensity 18